Diffraction record for Mn3H24O12F8. The powder diffraction line list is theoretical, not measured: it uses the GGA+U geometry in Alexandria and CuKα.
Lines closer than 0.1° are merged.

```
Mn3H24O12F8
1.0
6.2681 0.0000 0.0000
-2.6663 8.6819 0.0000
-2.0985 -4.0998 8.0709
Mn H O F
3 24 12 8
Cartesian
0.0000 0.0000 0.0000 Mn
-1.7220 4.4913 3.0779 Mn
3.2252 0.0908 4.9930 Mn
-0.4793 -1.1930 2.4939 H
-2.2461 -1.2754 7.9491 H
-3.0674 4.7423 5.6982 H
-0.1202 2.4393 1.4201 H
-0.9060 1.6772 4.1714 H
-1.8627 1.2310 7.6793 H
-0.2297 0.4555 4.9668 H
-0.1916 7.4184 0.5283 H
0.8330 -1.4526 4.6706 H
2.0091 2.5330 0.1953 H
2.2325 -0.2151 1.7172 H
0.5744 5.5811 1.8463 H
0.9289 -0.9990 6.2246 H
-0.7293 4.7972 6.3536 H
-0.5059 2.0492 7.8756 H
0.6703 6.0347 3.4002 H
1.6949 -2.8362 7.5426 H
1.7330 4.1267 3.1040 H
3.3660 3.3511 0.3915 H
2.4093 2.9049 3.8994 H
1.6235 2.1429 6.6508 H
4.5707 -0.1601 2.3726 H
3.7494 5.8575 0.1217 H
1.9826 5.7751 5.5770 H
-3.8977 5.0528 6.1290 O
0.2695 2.2042 0.5330 O
-1.0453 1.0178 4.8945 O
-0.7690 8.1684 0.8384 O
0.6949 5.9797 0.1961 O
1.0822 -0.7062 5.2756 O
0.4210 5.2883 2.7953 O
0.8083 -1.3976 7.8748 O
2.2723 -3.5863 7.2325 O
2.5486 3.5643 3.1764 O
1.2338 2.3779 7.5379 O
5.4009 -0.4707 1.9419 O
-2.7561 -0.0728 6.8556 F
-2.3621 6.2598 3.3651 F
-0.9234 2.7841 2.8394 F
-1.5246 4.3391 4.9486 F
3.0279 0.2430 3.1222 F
2.4267 1.7980 5.2315 F
3.8653 -1.6777 4.7058 F
4.2594 4.6549 1.2152 F
```

Peak list (10 most intense, 2θ from 10° to 90°, low angle first)
2θ = 15.92°, I 100, hkl 1 0 0; 2θ = 18.46°, I 63, hkl -1 1 1; 2θ = 19.15°, I 78, hkl 0 1 1; 2θ = 19.28°, I 48, hkl 1 -1 1; 2θ = 19.67°, I 64, hkl 0 1 -2; 2θ = 20.47°, I 76, hkl 0 2 -1; 2θ = 22.46°, I 49, hkl 1 -2 1; 2θ = 23.14°, I 54, hkl 1 1 -2; 2θ = 29.83°, I 58, hkl 2 0 -1; 2θ = 31.62°, I 66, hkl 2 0 -2